Diffraction record for GdTlSe2. The X-ray diffraction stick pattern is theoretical, not measured: it uses the PBE geometry in the Materials Project and λ = 1.5418 Å (Cu Kα).
Neutral-atom scattering factors, no anomalous dispersion.

Cell and atoms:
```
data_GdTlSe2
_chemical_formula_sum 'Gd3 Tl3 Se6'
_cell_length_a 4.2431
_cell_length_b 4.2431
_cell_length_c 23.3371
_cell_angle_alpha 90.00
_cell_angle_beta 90.00
_cell_angle_gamma 120.00
_symmetry_space_group_name_H-M 'R -3 m'
_symmetry_Int_Tables_number 166
_symmetry_space_group_name_Hall '-R 3 2"'
loop_
_atom_site_label
_atom_site_fract_x
_atom_site_fract_y
_atom_site_fract_z
Gd1 0.0000 0.0000 0.0000
Tl1 0.0000 0.0000 0.5000
Se1 0.0000 0.0000 0.2649
```

Largest 8 diffraction maxima, sorted by position, 5 to 70 degrees two-theta:
hkl 0 1 2, 2θ 25.41, I = 20
hkl 1 0 4, 2θ 28.71, I = 100
hkl 0 1 8, 2θ 39.44, I = 38
hkl 1 1 0, 2θ 42.62, I = 36
hkl 0 2 4, 2θ 52.20, I = 19
hkl 2 0 8, 2θ 59.45, I = 12
hkl 1 1 12, 2θ 65.06, I = 14
hkl 2 1 4, 2θ 69.58, I = 16

Diffraction record for Gd2USe5. The X-ray diffraction stick pattern is theoretical, not measured: it uses the PBE geometry in the Materials Project and λ = 1.5418 Å (Cu Kα).
Neutral-atom scattering factors, no anomalous dispersion.

Cell and atoms:
```
data_Gd2USe5
_chemical_formula_sum 'Gd8 U4 Se20'
_cell_length_a 12.060
_cell_length_b 8.266
_cell_length_c 7.678
_cell_angle_alpha 90.00
_cell_angle_beta 90.00
_cell_angle_gamma 90.00
_symmetry_space_group_name_H-M 'P n m a'
_symmetry_Int_Tables_number 62
_symmetry_space_group_name_Hall '-P 2ac 2n'
loop_
_atom_site_label
_atom_site_fract_x
_atom_site_fract_y
_atom_site_fract_z
Gd1 0.178 0.001 0.030
U1 0.011 0.750 0.577
Se1 0.000 0.250 0.037
Se2 0.094 0.048 0.672
Se3 0.187 0.750 0.329
Se4 0.220 0.250 0.306
```

Largest 8 diffraction maxima, sorted by position, 5 to 70 degrees two-theta:
hkl 3 0 1, 2θ 25.00, I = 61
hkl 1 2 1, 2θ 25.57, I = 46
hkl 2 2 0, 2θ 26.14, I = 44
hkl 1 2 2, 2θ 32.69, I = 35
hkl 2 2 2, 2θ 35.21, I = 100
hkl 4 2 0, 2θ 36.90, I = 50
hkl 0 4 0, 2θ 43.81, I = 39
hkl 5 2 1, 2θ 45.10, I = 55